# Ba2NaNi3O6
Simulated PXRD pattern, CuKα. Input: a PBE+U-relaxed structure.
Intensities are scaled so that the largest is 100.

Peak list (12 most intense, 10 to 90 degrees two-theta, low angle first)
| d_spacing | I/Imax |
| --- | --- |
| 3.594 | 16.8 |
| 3.097 | 54.1 |
| 3.041 | 100.0 |
| 2.851 | 28.2 |
| 2.345 | 13.4 |
| 2.256 | 16.7 |
| 2.234 | 22.5 |
| 2.111 | 13.3 |
| 1.979 | 25.2 |
| 1.936 | 12.9 |
| 1.680 | 13.3 |
| 1.520 | 21.1 |

```
24
Lattice="0.0000 5.7026 7.3757 4.1159 0.0000 7.3757 4.1159 5.7026 0.0000" Properties=species:S:1:pos:R:3 pbc="T T T"
Ba 4.1159 2.6795 7.3757
Ba 2.0579 2.8513 3.6878
Ba 6.1738 8.5539 11.0635
Ba 4.1159 8.7256 7.3757
Na 4.1159 5.7026 4.9564
Na 4.1159 5.7026 9.7949
Ni 5.2915 5.7026 2.1403
Ni 2.9403 5.7026 2.1403
Ni 5.7662 5.7026 7.3757
Ni 2.4656 5.7026 7.3757
Ni 5.2915 5.7026 12.6111
Ni 2.9403 5.7026 12.6111
O 5.9047 4.4438 5.9834
O 4.1159 4.4288 2.8513
O 5.9047 4.4438 8.7680
O 5.9047 6.9614 5.9834
O 4.1159 6.9763 2.8513
O 5.9047 6.9614 8.7680
O 2.3271 4.4438 5.9834
O 4.1159 4.4288 11.9000
O 2.3271 4.4438 8.7680
O 2.3271 6.9614 5.9834
O 4.1159 6.9763 11.9000
O 2.3271 6.9614 8.7680
```